Diffraction record for Nb2VGe6. The powder X-ray diffraction pattern is computed, not measured: it uses the PBE geometry in Alexandria and Cu Kα (weighted mean of Kα1 and Kα2).
Intensities are scaled so that the largest is 100.

Largest 10 diffraction maxima, by angle, 2θ from 10° to 90°:
2θ = 36.19°, d = 2.482 Å, I 10.8, hkl 1 3 0
2θ = 36.41°, d = 2.468 Å, I 11.2, hkl 2 0 0
2θ = 38.64°, d = 2.330 Å, I 100.0, hkl 1 3 1
2θ = 38.84°, d = 2.318 Å, I 42.2, hkl 2 0 1
2θ = 39.96°, d = 2.256 Å, I 48.2, hkl 0 0 3
2θ = 45.31°, d = 2.002 Å, I 60.2, hkl 1 3 2
2θ = 45.49°, d = 1.994 Å, I 29.7, hkl 2 0 2
2θ = 66.96°, d = 1.397 Å, I 38.7, hkl 1 3 4
2θ = 71.77°, d = 1.315 Å, I 14.7, hkl 3 3 2
2θ = 76.81°, d = 1.241 Å, I 13.4, hkl 2 6 0

Atomic structure:
```
data_Nb2VGe6
_space_group_name_H-M_alt 'C 2 2 2'
_space_group_IT_number 21
_space_group_name_Hall 'C 2 2'
_cell_length_a 4.935
_cell_length_b 8.615
_cell_length_c 6.769
_cell_angle_alpha 90.00
_cell_angle_beta 90.00
_cell_angle_gamma 90.00
loop_
_atom_site_label
_atom_site_fract_x
_atom_site_fract_y
_atom_site_fract_z
_atom_site_occupancy
Nb1 0.250 0.250 0.165 1
V1 0.000 0.000 0.500 1
Ge1 0.000 0.335 0.500 1
Ge2 0.250 0.080 0.828 1
```